The following is a theoretical powder diffractogram of Li5Fe6B6O18. It was derived from a structure optimized by DFT (PBE+U), using Cu Kα (weighted mean of Kα1 and Kα2).

Crystal structure
```
Li5Fe6B6O18
1.0
8.225 -3.093 0.000
8.225 3.093 0.000
-4.160 0.000 7.155
Li Fe B O
5 6 6 18
direct
0.000 0.000 0.000
0.203 0.203 0.726
0.503 0.503 0.001
0.706 0.706 0.724
0.840 0.840 0.416
0.115 0.593 0.090
0.277 0.767 0.698
0.416 0.925 0.352
0.593 0.115 0.090
0.767 0.277 0.698
0.925 0.416 0.352
0.014 0.014 0.377
0.097 0.603 0.724
0.177 0.177 0.034
0.520 0.520 0.383
0.603 0.097 0.724
0.683 0.683 0.040
0.039 0.573 0.534
0.049 0.545 0.815
0.110 0.110 0.451
0.121 0.121 0.842
0.139 0.139 0.149
0.198 0.697 0.832
0.275 0.275 0.110
0.457 0.457 0.185
0.482 0.482 0.496
0.545 0.049 0.815
0.573 0.039 0.534
0.616 0.616 0.450
0.629 0.629 0.848
0.642 0.642 0.152
0.697 0.198 0.832
0.782 0.782 0.127
0.954 0.954 0.180
0.973 0.973 0.488
```

Peak list (10 most intense, 15° ≤ 2θ ≤ 90°, sorted by position)
2θ = 21.47°, d 4.138, I = 46; 2θ = 21.60°, d 4.113, I = 100; 2θ = 31.53°, d 2.838, I = 21; 2θ = 36.32°, d 2.474, I = 99; 2θ = 37.73°, d 2.384, I = 26; 2θ = 37.96°, d 2.370, I = 15; 2θ = 48.19°, d 1.888, I = 23; 2θ = 48.38°, d 1.881, I = 14; 2θ = 53.51°, d 1.713, I = 24; 2θ = 59.79°, d 1.547, I = 18